Calculated PXRD pattern
Compound: MgSn2O5
Radiation: a wavelength of 1.5418 Å
Structure: a PBE-relaxed structure

Largest 10 diffraction maxima, by angle, 5° ≤ 2θ ≤ 70°:
2θ/deg	Rel. int.
17.14	1000
27.27	404
28.19	333
33.18	281
33.75	504
35.26	321
39.46	272
45.13	287
54.06	390
57.78	249

Cell and atoms:
a b c (Å): 3.191 12.662 5.172
angles (deg): 90.00 90.00 90.00
Atoms (fractional coordinates):
Mg (0.250, 0.250, 0.131)
Mg (0.750, 0.750, 0.869)
Sn (0.250, 0.605, 0.399)
Sn (0.250, 0.895, 0.399)
Sn (0.750, 0.105, 0.601)
Sn (0.750, 0.395, 0.601)
O (0.250, 0.063, 0.350)
O (0.250, 0.142, 0.838)
O (0.250, 0.358, 0.838)
O (0.250, 0.437, 0.350)
O (0.250, 0.750, 0.623)
O (0.750, 0.250, 0.377)
O (0.750, 0.563, 0.650)
O (0.750, 0.642, 0.162)
O (0.750, 0.858, 0.162)
O (0.750, 0.937, 0.650)

=====

Calculated PXRD pattern
Compound: MgSnO
Radiation: a wavelength of 1.5418 Å
Structure: a PBE-relaxed structure

Largest 10 diffraction maxima, by angle, 5° ≤ 2θ ≤ 70°:
2θ/deg	Rel. int.
13.92	1000
25.37	235
28.06	688
31.08	345
32.55	606
33.44	369
34.96	413
38.08	200
38.33	202
44.61	168

Cell and atoms:
a b c (Å): 3.021 5.948 6.842
angles (deg): 69.02 89.77 75.74
Atoms (fractional coordinates):
Mg (0.000, 0.000, 0.000)
Mg (0.221, 0.553, 0.931)
Sn (0.467, 0.064, 0.430)
Sn (0.746, 0.504, 0.516)
O (0.407, 0.186, 0.086)
O (0.614, 0.772, 0.950)

=====

Calculated PXRD pattern
Compound: Mg2Sn2O5
Radiation: a wavelength of 1.5418 Å
Structure: a PBE-relaxed structure

Largest 10 diffraction maxima, by angle, 5° ≤ 2θ ≤ 70°:
2θ/deg	Rel. int.
22.46	761
23.25	1000
28.94	513
32.55	996
33.28	315
34.08	460
41.39	427
45.85	374
47.59	341
55.34	375

Cell and atoms:
a b c (Å): 5.570 10.524 3.958
angles (deg): 90.00 90.00 90.00
Atoms (fractional coordinates):
Mg (0.137, 0.107, 0.000)
Mg (0.363, 0.607, 0.000)
Mg (0.637, 0.393, 0.000)
Mg (0.863, 0.893, 0.000)
Sn (0.158, 0.388, 0.500)
Sn (0.342, 0.888, 0.500)
Sn (0.658, 0.112, 0.500)
Sn (0.842, 0.612, 0.500)
O (0.000, 0.000, 0.500)
O (0.205, 0.703, 0.500)
O (0.233, 0.903, 0.000)
O (0.267, 0.403, 0.000)
O (0.295, 0.203, 0.500)
O (0.500, 0.500, 0.500)
O (0.705, 0.797, 0.500)
O (0.733, 0.597, 0.000)
O (0.767, 0.097, 0.000)
O (0.795, 0.297, 0.500)

=====

Calculated PXRD pattern
Compound: MgSn4O9
Radiation: a wavelength of 1.5418 Å
Structure: a PBE-relaxed structure

Largest 10 diffraction maxima, by angle, 5° ≤ 2θ ≤ 70°:
2θ/deg	Rel. int.
20.47	91
22.00	101
30.23	1000
34.90	77
35.12	182
50.35	364
50.51	166
59.71	132
60.00	265
62.86	74

Cell and atoms:
a b c (Å): 8.081 8.081 5.142
angles (deg): 90.00 90.00 90.00
Atoms (fractional coordinates):
Mg (0.250, 0.250, 0.239)
Mg (0.750, 0.750, 0.761)
Sn (0.041, 0.639, 0.229)
Sn (0.139, 0.959, 0.771)
Sn (0.361, 0.541, 0.771)
Sn (0.459, 0.861, 0.229)
Sn (0.541, 0.139, 0.771)
Sn (0.639, 0.459, 0.229)
Sn (0.861, 0.041, 0.229)
Sn (0.959, 0.361, 0.771)
O (0.006, 0.171, 0.509)
O (0.053, 0.150, 0.006)
O (0.150, 0.447, 0.006)
O (0.171, 0.494, 0.509)
O (0.250, 0.750, 0.000)
O (0.329, 0.006, 0.509)
O (0.350, 0.053, 0.006)
O (0.447, 0.350, 0.006)
O (0.494, 0.329, 0.509)
O (0.506, 0.671, 0.491)
O (0.553, 0.650, 0.994)
O (0.650, 0.947, 0.994)
O (0.671, 0.994, 0.491)
O (0.750, 0.250, 0.000)
O (0.829, 0.506, 0.491)
O (0.850, 0.553, 0.994)
O (0.947, 0.850, 0.994)
O (0.994, 0.829, 0.491)

=====

Calculated PXRD pattern
Compound: MgSnO
Radiation: a wavelength of 1.5418 Å
Structure: a PBE-relaxed structure

Largest 10 diffraction maxima, by angle, 5° ≤ 2θ ≤ 70°:
2θ/deg	Rel. int.
14.75	741
29.76	596
31.56	262
34.87	1000
35.00	552
41.02	507
43.92	187
51.49	390
56.26	173
58.35	232

Cell and atoms:
a b c (Å): 6.641 6.641 2.974
angles (deg): 90.00 90.00 129.45
Atoms (fractional coordinates):
Mg (0.000, 0.500, 0.000)
Mg (0.500, 0.000, 0.000)
Sn (0.000, 0.000, 0.000)
Sn (0.500, 0.500, 0.500)
O (0.288, 0.712, 0.500)
O (0.712, 0.288, 0.500)

=====

Calculated PXRD pattern
Compound: MgSnO6
Radiation: a wavelength of 1.5418 Å
Structure: a PBE-relaxed structure

Largest 10 diffraction maxima, by angle, 5° ≤ 2θ ≤ 70°:
2θ/deg	Rel. int.
18.82	465
21.77	1000
30.98	312
36.50	296
44.38	263
48.60	141
49.95	407
55.10	141
64.56	152
69.01	187

Cell and atoms:
a b c (Å): 5.774 5.774 5.774
angles (deg): 60.00 60.00 60.00
Atoms (fractional coordinates):
Mg (0.000, 0.000, 0.000)
Sn (0.500, 0.500, 0.500)
O (0.247, 0.247, 0.753)
O (0.247, 0.753, 0.247)
O (0.247, 0.753, 0.753)
O (0.753, 0.247, 0.247)
O (0.753, 0.247, 0.753)
O (0.753, 0.753, 0.247)

=====

Calculated PXRD pattern
Compound: Mg2SnO4
Radiation: a wavelength of 1.5418 Å
Structure: a PBE-relaxed structure

Largest 10 diffraction maxima, by angle, 5° ≤ 2θ ≤ 70°:
2θ/deg	Rel. int.
14.32	264
17.56	760
22.73	504
24.93	281
33.98	1000
35.54	237
41.28	597
54.50	383
59.79	588
62.84	157

Cell and atoms:
a b c (Å): 6.186 6.186 8.750
angles (deg): 90.00 90.00 90.00
Atoms (fractional coordinates):
Mg (0.000, 0.233, 0.000)
Mg (0.000, 0.767, 0.500)
Mg (0.233, 0.000, 0.750)
Mg (0.251, 0.251, 0.375)
Mg (0.251, 0.749, 0.125)
Mg (0.749, 0.251, 0.625)
Mg (0.749, 0.749, 0.875)
Mg (0.767, 0.000, 0.250)
Sn (0.234, 0.500, 0.750)
Sn (0.500, 0.234, 0.000)
Sn (0.500, 0.766, 0.500)
Sn (0.766, 0.500, 0.250)
O (0.013, 0.253, 0.758)
O (0.013, 0.747, 0.742)
O (0.253, 0.013, 0.992)
O (0.253, 0.987, 0.508)
O (0.254, 0.479, 0.991)
O (0.254, 0.521, 0.509)
O (0.479, 0.254, 0.759)
O (0.479, 0.746, 0.741)
O (0.521, 0.254, 0.241)
O (0.521, 0.746, 0.259)
O (0.746, 0.479, 0.009)
O (0.746, 0.521, 0.491)
O (0.747, 0.013, 0.008)
O (0.747, 0.987, 0.492)
O (0.987, 0.253, 0.242)
O (0.987, 0.747, 0.258)

=====

Calculated PXRD pattern
Compound: SrMg6SnO8
Radiation: a wavelength of 1.5418 Å
Structure: a PBE-relaxed structure

Largest 10 diffraction maxima, by angle, 5° ≤ 2θ ≤ 70°:
2θ/deg	Rel. int.
9.75	852
19.57	321
27.27	262
29.03	472
29.54	242
33.79	635
38.95	1000
39.75	411
56.27	312
56.87	529

Cell and atoms:
a b c (Å): 4.624 4.624 9.071
angles (deg): 90.00 90.00 90.00
Atoms (fractional coordinates):
Sr (0.000, 0.000, 0.000)
Mg (0.000, 0.000, 0.500)
Mg (0.000, 0.500, 0.274)
Mg (0.000, 0.500, 0.726)
Mg (0.500, 0.000, 0.274)
Mg (0.500, 0.000, 0.726)
Mg (0.500, 0.500, 0.500)
Sn (0.500, 0.500, 0.000)
O (0.000, 0.000, 0.276)
O (0.000, 0.000, 0.724)
O (0.000, 0.500, 0.000)
O (0.000, 0.500, 0.500)
O (0.500, 0.000, 0.000)
O (0.500, 0.000, 0.500)
O (0.500, 0.500, 0.277)
O (0.500, 0.500, 0.723)

=====

Calculated PXRD pattern
Compound: Mg2TaSnO6
Radiation: a wavelength of 1.5418 Å
Structure: a PBE-relaxed structure

Largest 10 diffraction maxima, by angle, 5° ≤ 2θ ≤ 70°:
2θ/deg	Rel. int.
22.52	520
22.73	542
23.26	502
32.21	700
32.35	367
32.78	1000
40.31	202
51.86	195
52.52	198
57.90	205

Cell and atoms:
a b c (Å): 5.457 7.824 5.537
angles (deg): 90.00 91.82 90.00
Atoms (fractional coordinates):
Mg (0.011, 0.250, 0.038)
Mg (0.486, 0.250, 0.534)
Mg (0.514, 0.750, 0.466)
Mg (0.989, 0.750, 0.962)
Ta (0.500, 0.000, 0.000)
Ta (0.500, 0.500, 0.000)
Sn (0.000, 0.000, 0.500)
Sn (0.000, 0.500, 0.500)
O (0.127, 0.250, 0.405)
O (0.188, 0.570, 0.151)
O (0.188, 0.930, 0.151)
O (0.359, 0.568, 0.681)
O (0.359, 0.932, 0.681)
O (0.370, 0.250, 0.920)
O (0.630, 0.750, 0.080)
O (0.641, 0.068, 0.319)
O (0.641, 0.432, 0.319)
O (0.812, 0.070, 0.849)
O (0.812, 0.430, 0.849)
O (0.873, 0.750, 0.595)